Computed X-ray powder pattern of LiVP2O8 for Cu Kα, from a DFT-relaxed cell (GGA+U, Alexandria).
Neutral-atom scattering factors, no anomalous dispersion.

Structure:
```
LiVP2O8
1.0
5.767 0.000 0.000
0.000 4.889 0.000
0.000 0.000 9.754
Li V P O
2 2 4 16
direct
0.000 0.166 0.000 Li
0.000 0.834 0.500 Li
0.500 0.314 0.555 V
0.500 0.686 0.055 V
0.000 0.315 0.698 P
0.000 0.685 0.198 P
0.500 0.106 0.878 P
0.500 0.894 0.378 P
0.000 0.015 0.671 O
0.000 0.411 0.843 O
0.000 0.589 0.343 O
0.000 0.985 0.171 O
0.223 0.455 0.621 O
0.223 0.545 0.121 O
0.298 0.056 0.449 O
0.298 0.944 0.949 O
0.500 0.086 0.722 O
0.500 0.412 0.920 O
0.500 0.588 0.420 O
0.500 0.914 0.222 O
0.702 0.056 0.449 O
0.702 0.944 0.949 O
0.777 0.455 0.621 O
0.777 0.545 0.121 O
```

Most intense lines, 2θ = 15–90°, by angle:
15.37 deg, I = 28, (1 0 0)
20.32 deg, I = 100, (0 1 1)
23.89 deg, I = 64, (1 0 2)
25.80 deg, I = 17, (0 1 2)
30.17 deg, I = 24, (1 1 2)
31.02 deg, I = 30, (2 0 0)
36.68 deg, I = 36, (1 1 3)
37.36 deg, I = 24, (2 1 1)
40.77 deg, I = 13, (2 1 2)
65.97 deg, I = 10, (2 0 6)